Starting from a structure optimized by DFT (PBE+U), the powder XRD pattern of Tl4WF10 was calculated for a wavelength of 1.5418 Å.

Cell: 7.610 7.610 7.610 Å, 100.51 100.51 129.43°
Atoms (fractional coordinates):
Tl 0.094 0.314 0.408
Tl 0.314 0.906 0.220
Tl 0.686 0.094 0.780
Tl 0.906 0.686 0.592
W 0.500 0.500 0.000
F 0.170 0.247 0.774
F 0.247 0.473 0.077
F 0.250 0.750 0.500
F 0.396 0.170 0.923
F 0.473 0.396 0.226
F 0.527 0.604 0.774
F 0.604 0.830 0.077
F 0.750 0.250 0.500
F 0.753 0.527 0.923
F 0.830 0.753 0.226

The 10 most intense peaks (15° ≤ 2θ ≤ 90°), by angle:
2θ/deg, d (Å), I (rel.)
24.62, 3.617, 100
27.44, 3.251, 14
29.02, 3.077, 22
40.36, 2.235, 33
41.50, 2.176, 16
46.83, 1.940, 17
48.85, 1.865, 28
50.47, 1.808, 12
64.33, 1.448, 14
74.93, 1.267, 8